Computed X-ray diffraction stick pattern of Tm3InS6 for Cu Kα X-rays, from a PBE-relaxed structure.

Largest 12 diffraction maxima, by angle, 10 to 90 degrees two-theta:
hkl  two_theta  I (rel.)
2 4 0  25.5  100
4 0 0  26.7  86
4 1 0  27.2  26
2 1 1  27.5  28
2 3 1  31.6  40
3 2 1  32.8  33
3 3 1  35.1  44
0 5 1  36.1  43
5 1 1  41.6  33
0 7 1  45.4  33
0 0 2  47.8  33
2 4 2  54.9  27

Crystal structure
abc: 13.3668 16.4211 3.8076
angles: 90.00 90.00 90.00
Space group P2_12_12 (No. 18)
Inequivalent atoms, fractional coordinates:
Tm1 0.0375 0.2253 0.2503
Tm2 0.1901 0.6453 0.2502
Tm3 0.2503 0.3914 0.2493
In1 0.0000 0.0000 0.7524
In2 0.0000 0.5000 0.7499
S1 0.0199 0.3938 0.2499
S2 0.0979 0.9103 0.2510
S3 0.1107 0.1203 0.7505
S4 0.1144 0.7454 0.7503
S5 0.1815 0.2865 0.7495
S6 0.1948 0.5208 0.7499